1.
For TbGa3IrPd, a crystal structure in Alexandria, relaxed with PBE gives the computed X-ray powder pattern in this record (Cu Kα, 1.54184 Å).
No peak broadening, texture or thermal motion is included.

Largest 10 diffraction maxima, sorted by position, 10 to 80 degrees two-theta:
two_theta	intensity
13.6	23
16.4	22
21.8	75
32.7	27
37.1	60
39.6	100
43.4	78
44.4	36
59.2	31
65.8	22

Crystal structure
Lattice parameters (Å, degrees): 6.7769 6.7769 5.4824 90.00 90.00 105.96
Positions (direct):
Tb 0.1929 0.8071 0.7500
Tb 0.8071 0.1929 0.2500
Ga 0.2393 0.2393 0.0000
Ga 0.2393 0.2393 0.5000
Ga 0.3189 0.6811 0.2500
Ga 0.6811 0.3189 0.7500
Ga 0.7607 0.7607 0.0000
Ga 0.7607 0.7607 0.5000
Ir 0.0904 0.9096 0.2500
Ir 0.9096 0.0904 0.7500
Pd 0.4481 0.5519 0.7500
Pd 0.5519 0.4481 0.2500

---

2.
For PmGa9Ir2, a crystal structure in Alexandria, relaxed with PBE gives the computed X-ray powder pattern in this record (Cu Kα, 1.54184 Å).
No peak broadening, texture or thermal motion is included.

Largest 10 diffraction maxima, sorted by position, 10 to 80 degrees two-theta:
two_theta	intensity
14.3	45
22.3	58
33.0	83
35.9	93
36.1	71
38.5	62
40.2	46
45.0	90
45.4	100
53.8	37

Crystal structure
Lattice parameters (Å, degrees): 8.3267 8.3267 8.3267 102.28 102.28 125.08
Positions (direct):
Pm 0.3750 0.6250 0.7500
Pm 0.6250 0.3750 0.2500
Ga 0.1250 0.8750 0.2500
Ga 0.1404 0.5636 0.3361
Ga 0.1404 0.8043 0.5768
Ga 0.1957 0.2726 0.3361
Ga 0.1957 0.8596 0.9232
Ga 0.2726 0.1957 0.8361
Ga 0.2726 0.4364 0.0768
Ga 0.4364 0.2726 0.5768
Ga 0.4364 0.8596 0.1639
Ga 0.5636 0.1404 0.8361
Ga 0.5636 0.7274 0.4232
Ga 0.7274 0.5636 0.9232
Ga 0.7274 0.8043 0.1639
Ga 0.8043 0.1404 0.0768
Ga 0.8043 0.7274 0.6639
Ga 0.8596 0.1957 0.4232
Ga 0.8596 0.4364 0.6639
Ga 0.8750 0.1250 0.7500
Ir 0.0000 0.0000 0.0000
Ir 0.0000 0.0000 0.5000
Ir 0.0000 0.5000 0.0000
Ir 0.5000 0.0000 0.5000

---

3.
For PmGa6Ir, a crystal structure in Alexandria, relaxed with PBE gives the computed X-ray powder pattern in this record (Cu Kα, 1.54184 Å).
No peak broadening, texture or thermal motion is included.

Largest 10 diffraction maxima, sorted by position, 10 to 80 degrees two-theta:
two_theta	intensity
20.8	31
30.0	100
36.8	90
42.4	85
44.3	55
48.5	42
52.8	41
61.5	28
66.4	32
73.9	23

Crystal structure
Lattice parameters (Å, degrees): 4.2623 4.2623 8.3543 90.00 90.00 90.00
Positions (direct):
Pm 0.0000 0.0000 0.0000
Ga 0.0000 0.5000 0.3286
Ga 0.0000 0.5000 0.6714
Ga 0.5000 0.0000 0.3286
Ga 0.5000 0.0000 0.6714
Ga 0.5000 0.5000 0.1443
Ga 0.5000 0.5000 0.8557
Ir 0.0000 0.0000 0.5000

---

4.
For Pm3Ga2Ir, a crystal structure in Alexandria, relaxed with PBE gives the computed X-ray powder pattern in this record (Cu Kα, 1.54184 Å).
No peak broadening, texture or thermal motion is included.

Largest 10 diffraction maxima, sorted by position, 10 to 80 degrees two-theta:
two_theta	intensity
10.8	37
16.5	27
26.0	33
29.6	27
31.5	100
33.9	66
36.5	64
38.6	24
40.5	58
41.1	40

Crystal structure
Lattice parameters (Å, degrees): 12.2550 4.4497 11.0941 90.00 90.00 90.00
Positions (direct):
Pm 0.0514 0.2500 0.1176
Pm 0.1150 0.7500 0.5575
Pm 0.2322 0.2500 0.7964
Pm 0.2678 0.7500 0.2964
Pm 0.3850 0.2500 0.0575
Pm 0.4486 0.7500 0.6176
Pm 0.5514 0.2500 0.3824
Pm 0.6150 0.7500 0.9425
Pm 0.7322 0.2500 0.7036
Pm 0.7678 0.7500 0.2036
Pm 0.8850 0.2500 0.4425
Pm 0.9486 0.7500 0.8824
Ga 0.0121 0.7500 0.2982
Ga 0.1995 0.7500 0.9999
Ga 0.3005 0.2500 0.4999
Ga 0.4879 0.2500 0.7982
Ga 0.5121 0.7500 0.2018
Ga 0.6995 0.7500 0.5001
Ga 0.8005 0.2500 0.0001
Ga 0.9879 0.2500 0.7018
Ir 0.1193 0.2500 0.3713
Ir 0.3807 0.7500 0.8713
Ir 0.6193 0.2500 0.1287
Ir 0.8807 0.7500 0.6287

---

5.
For Pm4GaIr4, a crystal structure in Alexandria, relaxed with PBE gives the computed X-ray powder pattern in this record (Cu Kα, 1.54184 Å).
No peak broadening, texture or thermal motion is included.

Largest 10 diffraction maxima, sorted by position, 10 to 80 degrees two-theta:
two_theta	intensity
20.6	12
21.3	11
32.9	100
39.2	47
45.0	8
47.2	13
49.7	20
54.4	14
67.0	9
74.9	10

Crystal structure
Lattice parameters (Å, degrees): 8.6096 8.6096 5.7275 90.00 90.00 90.00
Positions (direct):
Pm 0.0464 0.8169 0.1067
Pm 0.1831 0.5464 0.6067
Pm 0.3169 0.9536 0.6067
Pm 0.4536 0.6831 0.1067
Pm 0.5464 0.3169 0.8933
Pm 0.6831 0.0464 0.3933
Pm 0.8169 0.4536 0.3933
Pm 0.9536 0.1831 0.8933
Ga 0.2500 0.2500 0.2500
Ga 0.7500 0.7500 0.7500
Ir 0.0065 0.1358 0.3965
Ir 0.1358 0.4935 0.1035
Ir 0.3642 0.0065 0.1035
Ir 0.4935 0.3642 0.3965
Ir 0.5065 0.6358 0.6035
Ir 0.6358 0.9935 0.8965
Ir 0.8642 0.5065 0.8965
Ir 0.9935 0.8642 0.6035

---

6.
For Pm8Ga2Ir, a crystal structure in Alexandria, relaxed with PBE gives the computed X-ray powder pattern in this record (Cu Kα, 1.54184 Å).
No peak broadening, texture or thermal motion is included.

Largest 10 diffraction maxima, sorted by position, 10 to 80 degrees two-theta:
two_theta	intensity
23.6	16
31.8	28
32.5	12
33.6	36
34.7	100
51.3	12
52.2	10
60.8	20
62.8	13
63.6	11

Crystal structure
Lattice parameters (Å, degrees): 9.3711 9.3711 9.3711 146.95 136.10 56.03
Positions (direct):
Pm 0.1345 0.3696 0.7649
Pm 0.1983 0.1983 0.0000
Pm 0.2488 0.0000 0.2488
Pm 0.3953 0.6304 0.7649
Pm 0.6047 0.3696 0.2351
Pm 0.7512 0.0000 0.7512
Pm 0.8017 0.8017 0.0000
Pm 0.8655 0.6304 0.2351
Ga 0.3152 0.8152 0.5000
Ga 0.6848 0.1848 0.5000
Ir 0.0000 0.5000 0.5000

---

7.
For Pm3Ga2Ir2, a crystal structure in Alexandria, relaxed with PBE gives the computed X-ray powder pattern in this record (Cu Kα, 1.54184 Å).
No peak broadening, texture or thermal motion is included.

Largest 10 diffraction maxima, sorted by position, 10 to 80 degrees two-theta:
two_theta	intensity
25.7	26
32.3	32
33.5	37
34.1	29
34.2	47
37.2	52
37.8	26
38.9	100
39.1	36
42.2	27

Crystal structure
Lattice parameters (Å, degrees): 5.6884 8.0211 13.8282 90.00 90.00 90.00
Positions (direct):
Pm 0.1243 0.2401 0.2500
Pm 0.1243 0.2599 0.7500
Pm 0.3522 0.6016 0.0988
Pm 0.3522 0.6016 0.4012
Pm 0.3522 0.8984 0.5988
Pm 0.3522 0.8984 0.9012
Pm 0.6478 0.1016 0.0988
Pm 0.6478 0.1016 0.4012
Pm 0.6478 0.3984 0.5988
Pm 0.6478 0.3984 0.9012
Pm 0.8757 0.7401 0.2500
Pm 0.8757 0.7599 0.7500
Ga 0.1267 0.2500 0.0000
Ga 0.1267 0.2500 0.5000
Ga 0.3711 0.6059 0.7500
Ga 0.3711 0.8941 0.2500
Ga 0.6289 0.1059 0.7500
Ga 0.6289 0.3941 0.2500
Ga 0.8733 0.7500 0.0000
Ga 0.8733 0.7500 0.5000
Ir 0.1475 0.5321 0.5923
Ir 0.1475 0.5321 0.9077
Ir 0.1475 0.9679 0.0923
Ir 0.1475 0.9679 0.4077
Ir 0.8525 0.0321 0.5923
Ir 0.8525 0.0321 0.9077
Ir 0.8525 0.4679 0.0923
Ir 0.8525 0.4679 0.4077

---

8.
For Pm2Ga5Ir, a crystal structure in Alexandria, relaxed with PBE gives the computed X-ray powder pattern in this record (Cu Kα, 1.54184 Å).
No peak broadening, texture or thermal motion is included.

Largest 10 diffraction maxima, sorted by position, 10 to 80 degrees two-theta:
two_theta	intensity
17.5	32
28.6	100
29.0	22
34.1	43
35.4	61
40.1	38
41.5	63
44.7	27
51.2	31
59.1	43

Crystal structure
Lattice parameters (Å, degrees): 6.2545 6.2545 6.2545 121.07 121.07 88.15
Positions (direct):
Pm 0.0000 0.5000 0.5000
Pm 0.5000 0.0000 0.5000
Ga 0.0264 0.0264 0.0000
Ga 0.0342 0.0342 0.5719
Ga 0.0342 0.4623 0.0000
Ga 0.4623 0.0342 0.0000
Ga 0.4623 0.4623 0.4281
Ir 0.7549 0.7549 0.0000

---

9.
For Pm2Ga7Ir, a crystal structure in Alexandria, relaxed with PBE gives the computed X-ray powder pattern in this record (Cu Kα, 1.54184 Å).
No peak broadening, texture or thermal motion is included.

Largest 10 diffraction maxima, sorted by position, 10 to 80 degrees two-theta:
two_theta	intensity
32.6	46
34.2	100
42.7	49
45.2	13
47.1	23
54.7	21
59.8	12
62.0	16
65.5	17
72.8	22

Crystal structure
Lattice parameters (Å, degrees): 4.2337 4.2337 10.8280 90.00 90.00 90.00
Positions (direct):
Pm 0.0000 0.5000 0.2432
Pm 0.5000 0.0000 0.7568
Ga 0.0000 0.0000 0.0000
Ga 0.0000 0.0000 0.5000
Ga 0.0000 0.5000 0.6409
Ga 0.0000 0.5000 0.8702
Ga 0.5000 0.0000 0.1298
Ga 0.5000 0.0000 0.3591
Ga 0.5000 0.5000 0.5000
Ir 0.5000 0.5000 0.0000

---

10.
For Pm4Ga16Ir3, a crystal structure in Alexandria, relaxed with PBE gives the computed X-ray powder pattern in this record (Cu Kα, 1.54184 Å).
No peak broadening, texture or thermal motion is included.

Largest 10 diffraction maxima, sorted by position, 10 to 80 degrees two-theta:
two_theta	intensity
20.2	23
21.7	37
31.2	58
37.5	100
41.1	87
43.2	39
52.5	24
58.5	22
59.5	27
72.5	29

Crystal structure
Lattice parameters (Å, degrees): 6.2122 6.2122 11.3536 90.00 90.00 90.00
Positions (direct):
Pm 0.0000 0.5000 0.1950
Pm 0.0000 0.5000 0.8050
Pm 0.5000 0.0000 0.1950
Pm 0.5000 0.0000 0.8050
Ga 0.0000 0.0000 0.1962
Ga 0.0000 0.0000 0.8038
Ga 0.2119 0.2119 0.0000
Ga 0.2119 0.7881 0.0000
Ga 0.2517 0.2517 0.3821
Ga 0.2517 0.2517 0.6179
Ga 0.2517 0.7483 0.3821
Ga 0.2517 0.7483 0.6179
Ga 0.5000 0.5000 0.2243
Ga 0.5000 0.5000 0.7757
Ga 0.7483 0.2517 0.3821
Ga 0.7483 0.2517 0.6179
Ga 0.7483 0.7483 0.3821
Ga 0.7483 0.7483 0.6179
Ga 0.7881 0.2119 0.0000
Ga 0.7881 0.7881 0.0000
Ir 0.0000 0.5000 0.5000
Ir 0.5000 0.0000 0.5000
Ir 0.5000 0.5000 0.0000

---

11.
For Pm2Ga5Ir5, a crystal structure in Alexandria, relaxed with PBE gives the computed X-ray powder pattern in this record (Cu Kα, 1.54184 Å).
No peak broadening, texture or thermal motion is included.

Largest 10 diffraction maxima, sorted by position, 10 to 80 degrees two-theta:
two_theta	intensity
18.8	15
21.1	13
32.9	42
39.5	100
43.0	23
44.1	21
55.2	19
63.2	24
69.1	17
76.5	11

Crystal structure
Lattice parameters (Å, degrees): 4.2028 5.4353 9.4283 90.00 90.00 90.00
Positions (direct):
Pm 0.0000 0.0000 0.0000
Pm 0.0000 0.5000 0.5000
Ga 0.5000 0.0000 0.5000
Ga 0.5000 0.2494 0.2406
Ga 0.5000 0.2494 0.7594
Ga 0.5000 0.7506 0.2406
Ga 0.5000 0.7506 0.7594
Ir 0.0000 0.0000 0.3303
Ir 0.0000 0.0000 0.6697
Ir 0.0000 0.5000 0.1862
Ir 0.0000 0.5000 0.8138
Ir 0.5000 0.5000 0.0000

---

12.
For PmPrGaIr, a crystal structure in Alexandria, relaxed with PBE gives the computed X-ray powder pattern in this record (Cu Kα, 1.54184 Å).
No peak broadening, texture or thermal motion is included.

Largest 10 diffraction maxima, sorted by position, 10 to 80 degrees two-theta:
two_theta	intensity
16.2	20
30.7	100
32.3	37
32.8	20
38.8	64
39.2	28
42.2	25
42.5	25
54.3	17
59.0	17

Crystal structure
Lattice parameters (Å, degrees): 4.2576 5.8607 5.8607 42.81 90.00 90.00
Positions (direct):
Pm 0.0000 0.0000 0.0000
Pr 0.5000 0.7178 0.7178
Ga 0.0000 0.2974 0.2974
Ir 0.5000 0.4368 0.4368